1.
# BaFeBr4
Calculated powder X-ray diffraction pattern, λ = 1.5418 Å (Cu Kα). Input: the PBE geometry in Alexandria.

Cell and atoms:
a b c (Å): 8.513 8.513 8.513
angles (deg): 105.17 105.17 118.46
Positions (direct):
Ba: 0.375 0.625 0.750
Ba: 0.625 0.375 0.250
Fe: 0.125 0.875 0.250
Fe: 0.875 0.125 0.750
Br: 0.128 0.696 0.432
Br: 0.235 0.304 0.932
Br: 0.304 0.235 0.432
Br: 0.304 0.872 0.068
Br: 0.696 0.128 0.932
Br: 0.696 0.765 0.568
Br: 0.765 0.696 0.068
Br: 0.872 0.304 0.568

Main lines, by intensity (2θ from 15° to 90°):
2θ 17.14, rel. 100
2θ 34.28, rel. 70
2θ 27.83, rel. 65
2θ 26.76, rel. 50
2θ 42.49, rel. 47
2θ 32.02, rel. 35
2θ 32.87, rel. 35
2θ 34.68, rel. 31
2θ 45.04, rel. 20
2θ 53.12, rel. 19


2.
# BaFe2Br7
Calculated powder X-ray diffraction pattern, λ = 1.5418 Å (Cu Kα). Input: the PBE geometry in Alexandria.

Cell and atoms:
a b c (Å): 9.183 9.183 5.140
angles (deg): 90.00 90.00 102.13
Positions (direct):
Ba: 0.000 0.000 0.000
Fe: 0.284 0.284 0.500
Fe: 0.716 0.716 0.500
Br: 0.019 0.283 0.500
Br: 0.283 0.019 0.500
Br: 0.293 0.293 0.000
Br: 0.500 0.500 0.500
Br: 0.707 0.707 0.000
Br: 0.717 0.981 0.500
Br: 0.981 0.717 0.500

Main lines, by intensity (2θ from 15° to 90°):
2θ 29.67, rel. 100
2θ 26.66, rel. 70
2θ 29.86, rel. 52
2θ 34.91, rel. 48
2θ 40.18, rel. 37
2θ 30.48, rel. 36
2θ 54.26, rel. 30
2θ 46.58, rel. 30
2θ 37.18, rel. 26
2θ 33.49, rel. 24